1.
Structure and computed PXRD pattern of LaEr2Zn (a PBE-relaxed structure; λ = 1.5418 Å (Cu Kα)).

Largest 8 diffraction maxima, most intense first, 10° ≤ 2θ ≤ 90°:
32.1°, I 100, hkl 0 1 5; 30.9°, I 37, hkl 1 0 4; 50.7°, I 35, hkl 1 1 0; 35.1°, I 31, hkl 1 0 7; 40.9°, I 26, hkl 1 0 10; 25.7°, I 24, hkl 0 0 9; 83.4°, I 19, hkl 1 2 5; 28.8°, I 18, hkl 1 0 1

Cell and atoms:
Cell lengths 3.6019, 3.6019, 31.1905 Å; angles 90.00, 90.00, 120.00 degrees
Positions (direct):
La (0.0000, 0.0000, 0.0000)
La (0.3333, 0.6667, 0.6667)
La (0.6667, 0.3333, 0.3333)
Er (0.0000, 0.0000, 0.2365)
Er (0.0000, 0.0000, 0.4319)
Er (0.3333, 0.6667, 0.0986)
Er (0.3333, 0.6667, 0.9031)
Er (0.6667, 0.3333, 0.5698)
Er (0.6667, 0.3333, 0.7652)
Zn (0.0000, 0.0000, 0.8345)
Zn (0.3333, 0.6667, 0.5012)
Zn (0.6667, 0.3333, 0.1679)



2.
Structure and computed PXRD pattern of ScNi2Mo (a PBE-relaxed structure; λ = 1.5418 Å (Cu Kα)).

Largest 8 diffraction maxima, most intense first, 10° ≤ 2θ ≤ 90°:
40.1°, I 100, hkl 0 1 2; 40.9°, I 98, hkl 1 1 0; 15.7°, I 36, hkl 0 0 1; 45.9°, I 33, hkl 1 0 -2; 46.3°, I 32, hkl 1 0 2; 49.1°, I 28, hkl 0 2 0; 69.5°, I 18, hkl 1 2 -2; 69.8°, I 18, hkl 1 2 2

Cell and atoms:
Cell lengths 2.7457, 3.7113, 5.6466 Å; angles 90.00, 90.40, 90.00 degrees
Positions (direct):
Sc (0.0000, 0.0000, 0.0000)
Ni (0.4992, 0.5000, 0.2720)
Ni (0.5008, 0.5000, 0.7280)
Mo (0.0000, 0.0000, 0.5000)



3.
Structure and computed PXRD pattern of Te4Os (a PBE-relaxed structure; λ = 1.5418 Å (Cu Kα)).

Largest 8 diffraction maxima, most intense first, 10° ≤ 2θ ≤ 90°:
33.2°, I 100, hkl 2 1 1; 13.9°, I 94, hkl 1 1 0; 31.4°, I 47, hkl 1 3 0; 44.0°, I 37, hkl 3 2 1; 45.0°, I 30, hkl 2 4 0; 38.9°, I 26, hkl 3 0 1; 48.6°, I 19, hkl 4 1 1; 72.0°, I 17, hkl 4 5 1

Cell and atoms:
Cell lengths 9.0008, 9.0008, 3.6404 Å; angles 90.00, 90.00, 90.00 degrees
Positions (direct):
Te (0.0894, 0.2179, 0.0000)
Te (0.2179, 0.9106, 0.0000)
Te (0.2821, 0.5894, 0.5000)
Te (0.4106, 0.2821, 0.5000)
Te (0.5894, 0.7179, 0.5000)
Te (0.7179, 0.4106, 0.5000)
Te (0.7821, 0.0894, 0.0000)
Te (0.9106, 0.7821, 0.0000)
Os (0.0000, 0.0000, 0.5000)
Os (0.5000, 0.5000, 0.0000)



4.
Structure and computed PXRD pattern of CeSCl (a PBE-relaxed structure; λ = 1.5418 Å (Cu Kα)).

Largest 8 diffraction maxima, most intense first, 10° ≤ 2θ ≤ 90°:
22.4°, I 100, hkl 1 2 1; 32.1°, I 27, hkl 1 4 1; 36.8°, I 24, hkl 2 0 2; 43.8°, I 21, hkl 3 2 1; 37.3°, I 17, hkl 2 4 0; 37.0°, I 15, hkl 0 4 2; 43.2°, I 15, hkl 1 2 3; 26.0°, I 13, hkl 2 0 0

Cell and atoms:
Cell lengths 6.8528, 13.5729, 6.9713 Å; angles 90.00, 90.00, 90.00 degrees
Positions (direct):
Ce (0.2437, 0.0982, 0.0359)
Ce (0.2437, 0.4018, 0.5359)
Ce (0.2563, 0.5982, 0.0359)
Ce (0.2563, 0.9018, 0.5359)
Ce (0.7437, 0.0982, 0.4641)
Ce (0.7437, 0.4018, 0.9641)
Ce (0.7563, 0.5982, 0.4641)
Ce (0.7563, 0.9018, 0.9641)
S (0.0009, 0.0241, 0.7434)
S (0.0009, 0.4759, 0.2434)
S (0.4991, 0.5241, 0.7434)
S (0.4991, 0.9759, 0.2434)
S (0.5009, 0.0241, 0.7566)
S (0.5009, 0.4759, 0.2566)
S (0.9991, 0.5241, 0.7566)
S (0.9991, 0.9759, 0.2566)
Cl (0.1238, 0.7146, 0.3714)
Cl (0.1238, 0.7854, 0.8714)
Cl (0.3762, 0.2146, 0.3714)
Cl (0.3762, 0.2854, 0.8714)
Cl (0.6238, 0.7146, 0.1286)
Cl (0.6238, 0.7854, 0.6286)
Cl (0.8762, 0.2146, 0.1286)
Cl (0.8762, 0.2854, 0.6286)